Structure and simulated powder diffractogram of Tb3P4Pd7 (a DFT-relaxed cell (PBE, the Materials Project); Cu Kα (λ = 1.5418 Å)).
Neutral-atom scattering factors, no anomalous dispersion.

Main lines, low angle first (10° ≤ 2θ ≤ 80°):
two_theta	d/Å	I_rel	(hkl)
30.24	2.956	21	3 1 -2
35.97	2.497	100	1 1 2
36.34	2.472	48	6 0 -3
36.81	2.442	70	5 1 -2
37.33	2.409	22	3 1 1
38.22	2.355	30	4 0 -4
39.52	2.280	26	5 1 -3
43.25	2.092	34	6 0 0
45.09	2.011	47	0 2 0
64.25	1.450	21	6 2 0

Cell and atoms:
```
data_Tb3P4Pd7
_space_group_name_H-M_alt 'C 1 2/m 1'
_space_group_IT_number 12
_cell_length_a 15.4293
_cell_length_b 4.0218
_cell_length_c 9.4245
_cell_angle_alpha 90.00
_cell_angle_beta 125.57
_cell_angle_gamma 90.00
loop_
_space_group_symop_operation_xyz
'x,y,z'
'-x,-y,-z'
'-x,y,-z'
'x,-y,z'
'x+1/2,y+1/2,z'
'-x+1/2,-y+1/2,-z'
'-x+1/2,y+1/2,-z'
'x+1/2,-y+1/2,z'
loop_
_atom_site_label
_atom_site_type_symbol
_atom_site_fract_x
_atom_site_fract_y
_atom_site_fract_z
Tb1 Tb 0.0000 0.0000 0.0000
Tb2 Tb 0.1806 0.5000 0.6777
P1 P 0.1060 0.0000 0.8200
P2 P 0.1594 0.5000 0.2542
Pd1 Pd 0.0000 0.0000 0.5000
Pd2 Pd 0.0098 0.5000 0.2832
Pd3 Pd 0.1676 0.0000 0.4207
Pd4 Pd 0.1947 0.5000 0.0295
```


Structure and simulated powder diffractogram of ZrVCo (a DFT-relaxed cell (PBE, the Materials Project); Cu Kα (λ = 1.5418 Å)).
Neutral-atom scattering factors, no anomalous dispersion.

Main lines, low angle first (10° ≤ 2θ ≤ 80°):
two_theta	d/Å	I_rel	(hkl)
34.86	2.574	25	0 2 0
36.01	2.494	54	0 1 3
38.07	2.364	81	3 1 1
38.43	2.342	44	3 0 2
41.13	2.194	61	2 2 0
42.14	2.144	100	2 1 3
42.38	2.133	69	1 2 2
43.69	2.072	25	1 0 4
67.50	1.388	23	2 3 3
70.47	1.336	29	5 2 2

Cell and atoms:
```
data_ZrVCo
_space_group_name_H-M_alt 'A m m 2'
_space_group_IT_number 38
_cell_length_a 8.3984
_cell_length_b 5.1478
_cell_length_c 8.5526
_cell_angle_alpha 90.00
_cell_angle_beta 90.00
_cell_angle_gamma 90.00
loop_
_space_group_symop_operation_xyz
'x,y,z'
'-x,-y,z'
'-x,y,z'
'x,-y,z'
'x,y+1/2,z+1/2'
'-x,-y+1/2,z+1/2'
'-x,y+1/2,z+1/2'
'x,-y+1/2,z+1/2'
loop_
_atom_site_label
_atom_site_type_symbol
_atom_site_fract_x
_atom_site_fract_y
_atom_site_fract_z
Zr1 Zr 0.1815 0.0000 0.0000
Zr2 Zr 0.3020 0.0000 0.6634
V1 V 0.0000 0.0000 0.4742
V2 V 0.5000 0.0000 0.1568
V3 V 0.5000 0.2478 0.9148
Co1 Co 0.0000 0.2446 0.7335
Co2 Co 0.2480 0.0000 0.3311
```


Structure and simulated powder diffractogram of YGaI (a DFT-relaxed cell (PBE, the Materials Project); Cu Kα (λ = 1.5418 Å)).
Neutral-atom scattering factors, no anomalous dispersion.

Main lines, low angle first (10° ≤ 2θ ≤ 80°):
two_theta	d/Å	I_rel	(hkl)
21.78	4.081	12	0 0 3
25.50	3.494	47	0 1 1
28.50	3.132	60	0 1 2
32.95	2.719	100	0 1 3
42.98	2.104	55	1 1 0
44.40	2.040	12	0 0 6
44.58	2.033	26	1 0 5
55.20	1.664	22	2 0 3
63.50	1.465	25	1 1 6
72.40	1.305	19	1 2 3

Cell and atoms:
```
data_YGaI
_space_group_name_H-M_alt 'P -3 m 1'
_space_group_IT_number 164
_space_group_name_Hall '-P 3 2"'
_cell_length_a 4.2090
_cell_length_b 4.2090
_cell_length_c 12.2428
_cell_angle_alpha 90.00
_cell_angle_beta 90.00
_cell_angle_gamma 120.00
loop_
_atom_site_label
_atom_site_type_symbol
_atom_site_fract_x
_atom_site_fract_y
_atom_site_fract_z
Y1 Y 0.0000 0.0000 0.1652
Ga1 Ga 0.3333 0.6667 0.9717
I1 I 0.3333 0.6667 0.3291
```


Structure and simulated powder diffractogram of RbPO2F2 (a DFT-relaxed cell (PBE, the Materials Project); Cu Kα (λ = 1.5418 Å)).
Neutral-atom scattering factors, no anomalous dispersion.

Main lines, low angle first (10° ≤ 2θ ≤ 80°):
two_theta	d/Å	I_rel	(hkl)
24.88	3.579	48	1 0 2
25.29	3.522	100	2 1 0
27.11	3.289	52	0 2 0
28.39	3.144	71	1 1 2
34.06	2.632	21	2 1 2
36.60	2.455	26	2 2 1
37.12	2.422	43	1 2 2
38.27	2.352	15	1 1 3
42.01	2.150	20	3 1 2
48.69	1.870	23	1 3 2

Cell and atoms:
```
data_RbPO2F2
_space_group_name_H-M_alt 'P n m a'
_space_group_IT_number 62
_cell_length_a 8.3390
_cell_length_b 6.5787
_cell_length_c 7.9240
_cell_angle_alpha 90.00
_cell_angle_beta 90.00
_cell_angle_gamma 90.00
loop_
_space_group_symop_operation_xyz
'x,y,z'
'-x,-y,-z'
'-x+1/2,-y,z+1/2'
'x+1/2,y,-z+1/2'
'x+1/2,-y+1/2,-z+1/2'
'-x+1/2,y+1/2,z+1/2'
'-x,y+1/2,-z'
'x,-y+1/2,z'
loop_
_atom_site_label
_atom_site_type_symbol
_atom_site_fract_x
_atom_site_fract_y
_atom_site_fract_z
Rb1 Rb 0.1421 0.2500 0.1440
P1 P 0.1031 0.2500 0.6869
O1 O 0.1064 0.0514 0.7767
F1 F 0.0431 0.7500 0.4437
F2 F 0.2426 0.2500 0.5478
```


Structure and simulated powder diffractogram of KSrTbSbO6 (a DFT-relaxed cell (PBE, the Materials Project); Cu Kα (λ = 1.5418 Å)).
Neutral-atom scattering factors, no anomalous dispersion.

Main lines, low angle first (10° ≤ 2θ ≤ 80°):
two_theta	d/Å	I_rel	(hkl)
18.15	4.889	4	1 1 1
20.98	4.234	29	2 0 0
29.84	2.994	100	2 2 0
42.71	2.117	33	4 0 0
48.05	1.893	12	4 2 0
52.98	1.728	40	4 2 2
62.00	1.497	20	4 4 0
66.22	1.411	6	6 0 0
70.31	1.339	18	6 2 0
78.21	1.222	7	4 4 4

Cell and atoms:
```
data_KSrTbSbO6
_space_group_name_H-M_alt 'F -4 3 m'
_space_group_IT_number 216
_space_group_name_Hall 'F -4 2 3'
_cell_length_a 8.4678
_cell_length_b 8.4678
_cell_length_c 8.4678
_cell_angle_alpha 90.00
_cell_angle_beta 90.00
_cell_angle_gamma 90.00
loop_
_atom_site_label
_atom_site_type_symbol
_atom_site_fract_x
_atom_site_fract_y
_atom_site_fract_z
K1 K 0.0000 0.0000 0.0000
Sr1 Sr 0.0000 0.0000 0.5000
Tb1 Tb 0.2500 0.2500 0.7500
Sb1 Sb 0.2500 0.2500 0.2500
O1 O 0.0143 0.2500 0.2500
```


Structure and simulated powder diffractogram of CsBe4Al4B12O28 (a DFT-relaxed cell (PBE, the Materials Project); Cu Kα (λ = 1.5418 Å)).
Neutral-atom scattering factors, no anomalous dispersion.

Main lines, low angle first (10° ≤ 2θ ≤ 80°):
two_theta	d/Å	I_rel	(hkl)
16.90	5.245	26	1 1 0
26.87	3.318	53	2 1 0
29.49	3.028	100	2 1 1
36.33	2.473	43	3 0 0
40.32	2.237	33	3 1 1
42.20	2.141	25	2 2 2
45.76	1.983	30	3 2 1
50.74	1.799	34	4 1 0
52.32	1.748	22	3 3 0
72.01	1.311	29	4 4 0

Cell and atoms:
```
data_CsBe4Al4B12O28
_space_group_name_H-M_alt 'P -4 3 m'
_space_group_IT_number 215
_space_group_name_Hall 'P -4 2 3'
_cell_length_a 7.4182
_cell_length_b 7.4182
_cell_length_c 7.4182
_cell_angle_alpha 90.00
_cell_angle_beta 90.00
_cell_angle_gamma 90.00
loop_
_atom_site_label
_atom_site_type_symbol
_atom_site_fract_x
_atom_site_fract_y
_atom_site_fract_z
Cs1 Cs 0.0000 0.0000 0.0000
Be1 Be 0.2601 0.2601 0.7399
Al1 Al 0.3604 0.3604 0.3604
B1 B 0.0000 0.2495 0.5000
O1 O 0.0952 0.3621 0.3621
O2 O 0.1370 0.1370 0.5964
O3 O 0.3816 0.3816 0.6184
```